[1]
Structure and simulated PXRD pattern of LaAl2Ag3 (a PBE-relaxed structure; Cu Kα (λ = 1.5418 Å)).
Peak positions follow from Bragg's law for the DFT cell and can differ from measured ones.

Cell and atoms:
Lattice parameters (Å, degrees): 5.8082 5.8082 4.2653 90.00 90.00 120.00
Space group P6/mmm (No. 191)
Symmetry-distinct sites (fractional):
1 La 0.0000 0.0000 0.0000 x1
2 Al 0.3333 0.6667 0.0000 x2
3 Ag 0.0000 0.5000 0.5000 x3

The 10 most intense peaks (2θ from 10° to 90°), low angle first:
two_theta  Rel. int.  index
27.42  99  1 0 1
35.70  100  2 0 0
37.46  80  1 1 1
41.69  33  2 0 1
42.38  28  0 0 2
52.71  32  2 1 1
56.58  50  2 0 2
59.21  20  3 0 1
64.13  24  2 2 0
79.93  25  2 2 2



[2]
Structure and simulated PXRD pattern of LaAl2Ag3 (a PBE-relaxed structure; Cu Kα (λ = 1.5418 Å)).
Peak positions follow from Bragg's law for the DFT cell and can differ from measured ones.

Cell and atoms:
Lattice parameters (Å, degrees): 5.5275 9.7621 4.5722 90.00 90.00 90.00
Space group Cmmm (No. 65)
Symmetry-distinct sites (fractional):
1 La 0.0000 0.0000 0.0000 x2
2 Al 0.2500 0.2500 0.5000 x4
3 Ag 0.0000 0.3249 0.0000 x4
4 Ag 0.0000 0.5000 0.5000 x2

The 10 most intense peaks (2θ from 10° to 90°), low angle first:
two_theta  Rel. int.  index
19.41  23  0 0 1
26.90  24  1 1 1
31.91  21  1 3 0
32.39  30  2 0 0
37.63  100  1 3 1
38.05  20  2 0 1
39.42  27  0 0 2
51.91  15  2 0 2
61.27  23  3 3 1
70.29  18  1 3 3



[3]
Structure and simulated PXRD pattern of Li2AlAg (a PBE-relaxed structure; Cu Kα (λ = 1.5418 Å)).
Peak positions follow from Bragg's law for the DFT cell and can differ from measured ones.

Cell and atoms:
Lattice parameters (Å, degrees): 6.3172 6.3172 6.3172 90.00 90.00 90.00
Space group F-43m (No. 216)
Symmetry-distinct sites (fractional):
1 Li 0.0000 0.0000 0.0000 x4
2 Li 0.2500 0.2500 0.2500 x4
3 Al 0.2500 0.2500 0.7500 x4
4 Ag 0.0000 0.0000 0.5000 x4

The 10 most intense peaks (2θ from 10° to 90°), low angle first:
two_theta  Rel. int.  index
24.41  100  1 1 1
28.25  31  2 0 0
40.38  73  2 2 0
47.75  47  3 1 1
50.02  8  2 2 2
58.44  12  4 0 0
64.27  18  3 3 1
66.15  10  4 2 0
73.43  23  4 2 2
78.71  14  5 1 1



[4]
Structure and simulated PXRD pattern of LuAlAg2 (a PBE-relaxed structure; Cu Kα (λ = 1.5418 Å)).
Peak positions follow from Bragg's law for the DFT cell and can differ from measured ones.

Cell and atoms:
Lattice parameters (Å, degrees): 6.7559 6.7559 6.7559 90.00 90.00 90.00
Space group Fm-3m (No. 225)
Symmetry-distinct sites (fractional):
1 Lu 0.0000 0.0000 0.0000 x4
2 Al 0.0000 0.0000 0.5000 x4
3 Ag 0.2500 0.2500 0.2500 x8

The 9 most intense peaks (2θ from 10° to 90°), low angle first:
two_theta  Rel. int.  index
22.80  28  1 1 1
37.66  100  2 2 0
44.48  15  3 1 1
54.32  17  4 0 0
59.66  6  3 3 1
67.98  34  4 2 2
72.73  5  5 1 1
80.41  11  4 4 0
84.92  5  5 3 1